1.
Simulated powder diffractogram of MgH6CO6 for Cu Ka, from a structure optimized by DFT (GGA-PBE).
Peak positions follow from Bragg's law for the DFT cell and can differ from measured ones.

Cell and atoms:
```
data_MgH6CO6
_chemical_formula_sum 'Mg4 H24 C4 O24'
_cell_length_a 7.796
_cell_length_b 5.440
_cell_length_c 14.398
_cell_angle_alpha 90.00
_cell_angle_beta 122.29
_cell_angle_gamma 90.00
_space_group_name_H-M_alt 'P 1'
_space_group_IT_number 1
loop_
_space_group_symop_operation_xyz
'x,y,z'
loop_
_atom_site_label
_atom_site_fract_x
_atom_site_fract_y
_atom_site_fract_z
Mg1 0.098 0.089 0.351
Mg2 0.098 0.411 0.851
Mg3 0.902 0.589 0.149
Mg4 0.902 0.911 0.649
H1 0.179 0.671 0.091
H2 0.179 0.829 0.591
H3 0.245 0.064 0.663
H4 0.245 0.436 0.163
H5 0.301 0.114 0.083
H6 0.301 0.386 0.583
H7 0.366 0.112 0.285
H8 0.366 0.388 0.785
H9 0.485 0.699 0.318
H10 0.485 0.801 0.818
H11 0.498 0.653 0.086
H12 0.498 0.847 0.586
H13 0.502 0.153 0.414
H14 0.502 0.347 0.914
H15 0.515 0.199 0.182
H16 0.515 0.301 0.682
H17 0.634 0.612 0.215
H18 0.634 0.888 0.715
H19 0.699 0.614 0.417
H20 0.699 0.886 0.917
H21 0.755 0.564 0.837
H22 0.755 0.936 0.337
H23 0.821 0.171 0.409
H24 0.821 0.329 0.909
C1 0.154 0.638 0.411
C2 0.154 0.862 0.911
C3 0.846 0.138 0.089
C4 0.846 0.362 0.589
O1 0.050 0.706 0.308
O2 0.050 0.794 0.808
O3 0.175 0.596 0.153
O4 0.175 0.904 0.653
O5 0.179 0.089 0.940
O6 0.179 0.411 0.440
O7 0.230 0.684 0.982
O8 0.230 0.816 0.482
O9 0.369 0.093 0.354
O10 0.369 0.407 0.854
O11 0.377 0.157 0.163
O12 0.377 0.343 0.663
O13 0.623 0.657 0.337
O14 0.623 0.843 0.837
O15 0.631 0.593 0.146
O16 0.631 0.907 0.646
O17 0.770 0.184 0.518
O18 0.770 0.316 0.018
O19 0.821 0.589 0.560
O20 0.821 0.911 0.060
O21 0.825 0.096 0.347
O22 0.825 0.404 0.847
O23 0.950 0.206 0.192
O24 0.950 0.294 0.692
```

Principal peaks in the range 10° ≤ 2θ ≤ 90°, low angle first:
2θ 13.4, 6.590 Å, I 78, (1 0 0); 2θ 13.5, 6.539 Å, I 43, (1 0 -2); 2θ 22.8, 3.898 Å, I 100, (2 0 -2); 2θ 27.4, 3.252 Å, I 30, (0 1 3); 2θ 29.4, 3.043 Å, I 26, (0 0 4); 2θ 31.7, 2.818 Å, I 20, (2 1 0); 2θ 33.8, 2.655 Å, I 64, (0 2 1); 2θ 35.3, 2.546 Å, I 25, (3 0 -2); 2θ 46.6, 1.949 Å, I 36, (4 0 -4); 2θ 50.3, 1.814 Å, I 26, (0 2 5)

***

2.
Simulated powder diffractogram of Rb2MgH8C2O10 for Cu Ka, from a structure optimized by DFT (GGA-PBE).
Peak positions follow from Bragg's law for the DFT cell and can differ from measured ones.

Cell and atoms:
```
data_Rb2MgH8C2O10
_chemical_formula_sum 'Rb4 Mg2 H16 C4 O20'
_cell_length_a 7.163
_cell_length_b 6.522
_cell_length_c 12.353
_cell_angle_alpha 90.00
_cell_angle_beta 115.05
_cell_angle_gamma 90.00
_space_group_name_H-M_alt 'P 1'
_space_group_IT_number 1
loop_
_space_group_symop_operation_xyz
'x,y,z'
loop_
_atom_site_label
_atom_site_fract_x
_atom_site_fract_y
_atom_site_fract_z
Rb1 0.248 0.148 0.324
Rb2 0.248 0.352 0.824
Rb3 0.752 0.648 0.176
Rb4 0.752 0.852 0.676
Mg1 0.000 0.000 0.000
Mg2 0.000 0.500 0.500
H1 0.199 0.706 0.978
H2 0.199 0.794 0.478
H3 0.200 0.655 0.365
H4 0.200 0.845 0.865
H5 0.293 0.180 0.586
H6 0.293 0.320 0.086
H7 0.426 0.115 0.122
H8 0.426 0.385 0.622
H9 0.574 0.615 0.378
H10 0.574 0.885 0.878
H11 0.707 0.680 0.914
H12 0.707 0.820 0.414
H13 0.800 0.155 0.135
H14 0.800 0.345 0.635
H15 0.801 0.206 0.522
H16 0.801 0.294 0.022
C1 0.247 0.651 0.175
C2 0.247 0.849 0.675
C3 0.753 0.151 0.325
C4 0.753 0.349 0.825
O1 0.115 0.699 0.408
O2 0.115 0.801 0.908
O3 0.118 0.698 0.645
O4 0.118 0.802 0.145
O5 0.286 0.168 0.070
O6 0.286 0.332 0.570
O7 0.308 0.574 0.097
O8 0.308 0.926 0.597
O9 0.317 0.574 0.282
O10 0.317 0.926 0.782
O11 0.683 0.074 0.218
O12 0.683 0.426 0.718
O13 0.692 0.074 0.403
O14 0.692 0.426 0.903
O15 0.714 0.668 0.430
O16 0.714 0.832 0.930
O17 0.882 0.198 0.855
O18 0.882 0.302 0.355
O19 0.885 0.199 0.092
O20 0.885 0.301 0.592
```

Principal peaks in the range 10° ≤ 2θ ≤ 90°, low angle first:
2θ 18.5, 4.790 Å, I 36, (1 1 -1); 2θ 20.9, 4.245 Å, I 52, (0 1 2); 2θ 27.5, 3.243 Å, I 96, (2 0 0); 2θ 28.5, 3.130 Å, I 100, (0 2 1); 2θ 28.7, 3.108 Å, I 60, (2 1 -2); 2θ 34.9, 2.571 Å, I 44, (0 1 4); 2θ 35.1, 2.557 Å, I 49, (2 1 -4); 2θ 35.3, 2.543 Å, I 34, (1 2 -3); 2θ 37.5, 2.400 Å, I 33, (2 0 2); 2θ 42.4, 2.131 Å, I 41, (2 2 1)